Entry 1:
# Sb8Ir2Os
Simulated powder X-ray diffraction pattern, Cu Kα, 1.54184 Å. Input: DFT lattice parameters and positions (GGA-PBE).
No peak broadening, texture or thermal motion is included.

Crystal structure
abc: 5.202 7.796 7.797
angles: 69.75 89.80 89.78
Space group P-1 (No. 2)
One atom of each set of equivalent atoms:
Sb1 0.194 0.290 0.376 [2 per cell]
Sb2 0.194 0.875 0.790 [2 per cell]
Sb3 0.208 0.831 0.331 [2 per cell]
Sb4 0.255 0.415 0.914 [2 per cell]
Ir1 0.255 0.628 0.128 [2 per cell]
Os1 0.500 0.000 0.500 [1 per cell]

The 10 most intense peaks (2θ = 5–70°), by intensity:
2θ/deg	d (Å)	intensity	hkl
40.5	2.228	100.0	0 2 -2
46.9	1.938	92.4	0 1 4
19.9	4.458	79.0	0 1 -1
13.8	6.396	74.9	0 1 1
29.9	2.988	66.9	1 0 -2
21.0	4.236	66.8	1 -1 0
35.5	2.529	60.7	1 -2 1
34.5	2.601	56.8	2 0 0
36.6	2.458	51.5	0 3 2
22.0	4.042	46.0	1 1 1

Entry 2:
# Sc5Ir2Os
Simulated powder X-ray diffraction pattern, Cu Kα, 1.54184 Å. Input: DFT lattice parameters and positions (GGA-PBE).
No peak broadening, texture or thermal motion is included.

Crystal structure
abc: 5.793 11.167 4.544
angles: 90.00 90.00 90.00
Space group Pbam (No. 55)
One atom of each set of equivalent atoms:
Sc1 0.000 0.000 0.000 [2 per cell]
Sc2 0.151 0.278 0.000 [4 per cell]
Sc3 0.168 0.614 0.500 [4 per cell]
Ir1 0.162 0.877 0.500 [4 per cell]
Os1 0.000 0.500 0.000 [2 per cell]

The 10 most intense peaks (2θ = 5–70°), by intensity:
2θ/deg	d (Å)	intensity	hkl
37.8	2.379	100.0	0 4 1
26.2	3.405	59.1	1 1 1
22.1	4.020	48.1	1 2 0
37.7	2.386	47.2	2 1 1
39.7	2.272	46.6	0 0 2
36.8	2.443	32.6	2 0 1
29.7	3.011	31.0	1 2 1
39.4	2.286	22.7	2 3 0
40.3	2.238	20.7	2 2 1
15.9	5.583	20.2	0 2 0

Entry 3:
# Sc3IrOs
Simulated powder X-ray diffraction pattern, Cu Kα, 1.54184 Å. Input: DFT lattice parameters and positions (GGA-PBE).
No peak broadening, texture or thermal motion is included.

Crystal structure
abc: 4.878 4.878 4.878
angles: 90.00 90.00 90.00
Space group Pm-3m (No. 221)
One atom of each set of equivalent atoms:
Sc1 0.000 0.000 0.500 [3 per cell]
Ir1 0.500 0.500 0.500 [1 per cell]
Os1 0.000 0.000 0.000 [1 per cell]

The 10 most intense peaks (2θ = 5–70°), by intensity:
2θ/deg	d (Å)	intensity	hkl
25.8	3.449	100.0	1 1 0
36.9	2.439	47.8	2 0 0
45.6	1.991	45.3	2 1 1
53.1	1.725	32.9	2 2 0
60.0	1.543	20.4	3 1 0
66.4	1.408	11.1	2 2 2
31.8	2.816	7.0	1 1 1
63.2	1.471	2.4	3 1 1
18.2	4.878	2.2	1 0 0
41.4	2.181	0.9	2 1 0

Entry 4:
# IrOs2Se2
Simulated powder X-ray diffraction pattern, Cu Kα, 1.54184 Å. Input: DFT lattice parameters and positions (GGA-PBE).
No peak broadening, texture or thermal motion is included.

Crystal structure
abc: 3.871 3.871 11.288
angles: 90.00 90.00 90.00
Space group I4/mmm (No. 139)
One atom of each set of equivalent atoms:
Ir1 0.000 0.000 0.000 [2 per cell]
Os1 0.000 0.000 0.391 [4 per cell]
Se1 0.000 0.500 0.250 [4 per cell]

The 10 most intense peaks (2θ = 5–70°), by intensity:
2θ/deg	d (Å)	intensity	hkl
36.5	2.463	100.0	1 1 2
33.2	2.698	95.1	1 0 3
46.6	1.950	85.1	1 0 5
46.9	1.935	71.9	2 0 0
32.7	2.737	60.4	1 1 0
68.3	1.374	55.0	2 1 5
58.7	1.573	38.0	2 1 3
46.2	1.965	28.3	1 1 4
68.6	1.369	23.4	2 2 0
24.3	3.662	15.7	1 0 1